(1)
For La2YRuCl, a GGA-PBE-relaxed structure gives the calculated X-ray diffraction stick pattern in this record (Cu Kα, 1.54184 Å).
Neutral-atom scattering factors, no anomalous dispersion.

abc: 6.087 6.087 4.713
angles: 90.00 90.00 90.00
Positions (direct):
La  0.000  0.500  0.000
La  0.500  0.000  0.000
Y  0.000  0.000  0.000
Ru  0.000  0.000  0.500
Cl  0.500  0.500  0.500

The 10 most intense peaks (2θ = 10–90°), sorted by position:
- 6.087 Å, 2θ 14.55, rel. 52
- 4.713 Å, 2θ 18.83, rel. 29
- 3.178 Å, 2θ 28.08, rel. 92
- 3.044 Å, 2θ 29.35, rel. 100
- 2.557 Å, 2θ 35.10, rel. 25
- 2.356 Å, 2θ 38.19, rel. 25
- 2.152 Å, 2θ 41.98, rel. 37
- 1.863 Å, 2θ 48.88, rel. 47
- 1.782 Å, 2θ 51.27, rel. 42
- 1.589 Å, 2θ 58.04, rel. 28

(2)
For La5S4Cl, a GGA-PBE-relaxed structure gives the calculated X-ray diffraction stick pattern in this record (Cu Kα, 1.54184 Å).
Neutral-atom scattering factors, no anomalous dispersion.

abc: 17.141 17.141 17.141
angles: 13.91 13.91 13.91
Positions (direct):
La  0.000  0.000  0.000
La  0.202  0.202  0.202
La  0.400  0.400  0.400
La  0.600  0.600  0.600
La  0.798  0.798  0.798
S  0.100  0.100  0.100
S  0.300  0.300  0.300
S  0.700  0.700  0.700
S  0.900  0.900  0.900
Cl  0.500  0.500  0.500

The 10 most intense peaks (2θ = 10–90°), sorted by position:
- 3.392 Å, 2θ 26.27, rel. 68
- 2.937 Å, 2θ 30.43, rel. 100
- 2.077 Å, 2θ 43.57, rel. 72
- 1.771 Å, 2θ 51.60, rel. 34
- 1.696 Å, 2θ 54.08, rel. 25
- 1.469 Å, 2θ 63.32, rel. 11
- 1.348 Å, 2θ 69.78, rel. 14
- 1.314 Å, 2θ 71.87, rel. 31
- 1.199 Å, 2θ 80.00, rel. 17
- 1.131 Å, 2θ 85.96, rel. 6

(3)
For La5Sb4Cl, a GGA-PBE-relaxed structure gives the calculated X-ray diffraction stick pattern in this record (Cu Kα, 1.54184 Å).
Neutral-atom scattering factors, no anomalous dispersion.

abc: 12.020 12.020 12.020
angles: 158.00 148.84 38.48
Positions (direct):
La  0.000  0.000  0.000
La  0.201  0.201  0.000
La  0.400  0.400  0.000
La  0.600  0.600  0.000
La  0.799  0.799  0.000
Sb  0.098  0.598  0.500
Sb  0.303  0.803  0.500
Sb  0.697  0.197  0.500
Sb  0.902  0.402  0.500
Cl  0.500  0.000  0.500

The 10 most intense peaks (2θ = 10–90°), sorted by position:
- 3.227 Å, 2θ 27.64, rel. 100
- 2.294 Å, 2θ 39.27, rel. 13
- 2.282 Å, 2θ 39.48, rel. 51
- 2.270 Å, 2θ 39.71, rel. 12
- 1.870 Å, 2θ 48.69, rel. 14
- 1.857 Å, 2θ 49.06, rel. 13
- 1.614 Å, 2θ 57.07, rel. 13
- 1.443 Å, 2θ 64.56, rel. 23
- 1.322 Å, 2θ 71.33, rel. 9
- 1.313 Å, 2θ 71.92, rel. 8

(4)
For La2SeCl, a GGA-PBE-relaxed structure gives the calculated X-ray diffraction stick pattern in this record (Cu Kα, 1.54184 Å).
Neutral-atom scattering factors, no anomalous dispersion.

abc: 7.988 7.988 7.988
angles: 29.77 29.77 29.77
Positions (direct):
La  0.000  0.000  0.000
La  0.178  0.178  0.178
Se  0.589  0.589  0.589
Cl  0.757  0.757  0.757

The 10 most intense peaks (2θ = 10–90°), sorted by position:
- 7.629 Å, 2θ 11.60, rel. 14
- 3.512 Å, 2θ 25.36, rel. 26
- 3.394 Å, 2θ 26.25, rel. 44
- 2.807 Å, 2θ 31.88, rel. 100
- 2.406 Å, 2θ 37.37, rel. 44
- 2.052 Å, 2θ 44.13, rel. 48
- 1.924 Å, 2θ 47.24, rel. 20
- 1.657 Å, 2θ 55.46, rel. 20
- 1.397 Å, 2θ 66.99, rel. 24
- 1.289 Å, 2θ 73.46, rel. 17

(5)
For La3SeCl3, a GGA-PBE-relaxed structure gives the calculated X-ray diffraction stick pattern in this record (Cu Kα, 1.54184 Å).
Neutral-atom scattering factors, no anomalous dispersion.

abc: 10.243 10.243 10.243
angles: 109.47 109.47 109.47
Positions (direct):
La  0.005  0.009  0.255
La  0.005  0.495  0.750
La  0.009  0.255  0.005
La  0.245  0.255  0.750
La  0.245  0.491  0.495
La  0.255  0.005  0.009
La  0.255  0.750  0.245
La  0.491  0.495  0.245
La  0.495  0.245  0.491
La  0.495  0.750  0.005
La  0.750  0.005  0.495
La  0.750  0.245  0.255
Se  0.000  0.250  0.500
Se  0.250  0.250  0.250
Se  0.250  0.500  0.000
Se  0.500  0.000  0.250
Cl  0.250  0.755  0.745
Cl  0.250  0.995  0.505
Cl  0.505  0.250  0.995
Cl  0.505  0.755  0.509
Cl  0.509  0.505  0.755
Cl  0.745  0.250  0.755
Cl  0.745  0.995  0.991
Cl  0.755  0.509  0.505
Cl  0.755  0.745  0.250
Cl  0.991  0.745  0.995
Cl  0.995  0.505  0.250
Cl  0.995  0.991  0.745

The 10 most intense peaks (2θ = 10–90°), sorted by position:
- 8.363 Å, 2θ 10.58, rel. 57
- 3.740 Å, 2θ 23.79, rel. 15
- 3.414 Å, 2θ 26.10, rel. 25
- 2.957 Å, 2θ 30.23, rel. 100
- 2.320 Å, 2θ 38.82, rel. 15
- 2.091 Å, 2θ 43.27, rel. 72
- 1.783 Å, 2θ 51.23, rel. 13
- 1.707 Å, 2θ 53.69, rel. 25
- 1.322 Å, 2θ 71.32, rel. 31
- 1.207 Å, 2θ 79.38, rel. 23

(6)
For La8SiSe3Cl4, a GGA-PBE-relaxed structure gives the calculated X-ray diffraction stick pattern in this record (Cu Kα, 1.54184 Å).
Neutral-atom scattering factors, no anomalous dispersion.

abc: 8.440 8.440 8.448
angles: 118.79 118.79 61.07
Positions (direct):
La  0.244  0.244  0.244
La  0.244  0.756  0.244
La  0.244  0.756  0.756
La  0.251  0.251  0.750
La  0.749  0.749  0.250
La  0.756  0.244  0.244
La  0.756  0.244  0.756
La  0.756  0.756  0.756
Si  0.000  0.000  0.000
Se  0.000  0.500  0.500
Se  0.500  0.000  0.500
Se  0.500  0.500  0.000
Cl  0.000  0.000  0.500
Cl  0.000  0.500  0.000
Cl  0.500  0.000  0.000
Cl  0.500  0.500  0.500

The 10 most intense peaks (2θ = 10–90°), sorted by position:
- 3.497 Å, 2θ 25.47, rel. 29
- 3.416 Å, 2θ 26.08, rel. 9
- 3.010 Å, 2θ 29.68, rel. 100
- 2.149 Å, 2θ 42.04, rel. 25
- 2.144 Å, 2θ 42.15, rel. 13
- 2.110 Å, 2θ 42.86, rel. 36
- 1.818 Å, 2θ 50.18, rel. 10
- 1.747 Å, 2θ 52.37, rel. 13
- 1.357 Å, 2θ 69.25, rel. 11
- 1.337 Å, 2θ 70.43, rel. 16

(7)
For La3Si3Cl2, a GGA-PBE-relaxed structure gives the calculated X-ray diffraction stick pattern in this record (Cu Kα, 1.54184 Å).
Neutral-atom scattering factors, no anomalous dispersion.

abc: 9.344 9.344 10.674
angles: 97.67 97.67 26.27
Positions (direct):
La  0.035  0.035  0.331
La  0.116  0.116  0.991
La  0.180  0.180  0.649
La  0.820  0.820  0.351
La  0.884  0.884  0.009
La  0.965  0.965  0.669
Si  0.411  0.411  0.222
Si  0.436  0.436  0.448
Si  0.481  0.481  0.888
Si  0.519  0.519  0.112
Si  0.564  0.564  0.552
Si  0.589  0.589  0.778
Cl  0.203  0.203  0.375
Cl  0.274  0.274  0.891
Cl  0.726  0.726  0.109
Cl  0.797  0.797  0.625

The 10 most intense peaks (2θ = 10–90°), sorted by position:
- 4.133 Å, 2θ 21.50, rel. 76
- 3.955 Å, 2θ 22.48, rel. 51
- 3.688 Å, 2θ 24.13, rel. 66
- 3.525 Å, 2θ 25.27, rel. 73
- 2.725 Å, 2θ 32.86, rel. 48
- 2.641 Å, 2θ 33.94, rel. 92
- 2.595 Å, 2θ 34.57, rel. 100
- 2.550 Å, 2θ 35.19, rel. 90
- 2.123 Å, 2θ 42.58, rel. 45
- 1.819 Å, 2θ 50.16, rel. 33

(8)
For La6SiCl5, a GGA-PBE-relaxed structure gives the calculated X-ray diffraction stick pattern in this record (Cu Kα, 1.54184 Å).
Neutral-atom scattering factors, no anomalous dispersion.

abc: 7.266 7.266 7.290
angles: 99.61 99.61 120.36
Positions (direct):
La  0.086  0.416  0.753
La  0.247  0.247  0.242
La  0.416  0.086  0.753
La  0.584  0.914  0.247
La  0.753  0.753  0.758
La  0.914  0.584  0.247
Si  0.500  0.500  0.000
Cl  0.000  0.000  0.500
Cl  0.169  0.831  0.000
Cl  0.340  0.660  0.500
Cl  0.660  0.340  0.500
Cl  0.831  0.169  0.000

The 10 most intense peaks (2θ = 10–90°), sorted by position:
- 3.431 Å, 2θ 25.97, rel. 50
- 3.403 Å, 2θ 26.18, rel. 16
- 2.965 Å, 2θ 30.14, rel. 100
- 2.103 Å, 2θ 43.01, rel. 37
- 2.090 Å, 2θ 43.28, rel. 36
- 1.789 Å, 2θ 51.05, rel. 17
- 1.715 Å, 2θ 53.42, rel. 19
- 1.483 Å, 2θ 62.66, rel. 12
- 1.329 Å, 2θ 70.90, rel. 16
- 1.323 Å, 2θ 71.29, rel. 16